This entry pairs a crystal structure of SrYCoO4 with its theoretical powder X-ray diffraction pattern. Radiation: a wavelength of 1.5418 Å. Structure: a GGA+U-relaxed structure.
Lines closer than 0.1° are merged.

Crystal structure
```
SrYCoO4
1.0
5.342 0.000 0.000
2.670 8.172 0.000
2.670 -0.749 8.178
Sr Y Co O
4 4 4 16
Cartesian
0.000 0.000 0.000 Sr
2.671 1.920 2.115 Sr
5.341 3.711 4.087 Sr
8.011 5.633 6.205 Sr
5.337 3.553 7.811 Y
5.352 6.329 1.899 Y
5.341 -0.156 3.724 Y
8.014 1.867 5.984 Y
5.340 6.896 4.959 Co
5.341 0.513 7.047 Co
5.342 3.187 0.868 Co
8.013 4.974 2.957 Co
2.670 3.287 4.299 O
3.980 1.488 8.125 O
4.030 5.951 4.033 O
5.340 5.442 6.528 O
2.669 -0.084 3.422 O
3.973 -0.145 5.741 O
4.039 4.322 1.647 O
5.339 2.283 5.955 O
5.339 7.749 0.214 O
6.650 5.949 4.038 O
6.701 1.493 8.122 O
5.340 1.732 2.438 O
8.020 3.625 7.506 O
6.646 4.313 1.652 O
6.709 -0.146 5.742 O
7.994 6.747 1.870 O
```

Main lines, in order of rising 2θ (2θ = 10–90°):
| two_theta | intensity |
| --- | --- |
| 32.13 | 100 |
| 32.24 | 96 |
| 32.43 | 72 |
| 33.55 | 72 |
| 44.31 | 28 |
| 44.94 | 25 |
| 45.29 | 21 |
| 47.35 | 77 |
| 57.58 | 19 |
| 59.13 | 35 |

***

This entry pairs a crystal structure of LiV5O10 with its theoretical powder X-ray diffraction pattern. Radiation: a wavelength of 1.5418 Å. Structure: a GGA+U-relaxed structure.
Lines closer than 0.1° are merged.

Crystal structure
```
LiV5O10
1.0
5.112 0.000 0.000
0.985 5.053 0.000
2.039 1.774 7.332
Li V O
1 5 10
Cartesian
0.000 0.000 0.000 Li
1.614 4.317 3.279 V
4.021 2.861 4.316 V
3.207 0.702 2.457 V
4.913 5.317 5.625 V
3.629 3.278 0.954 V
2.658 4.912 1.662 O
2.665 2.557 2.906 O
4.079 4.859 7.086 O
3.405 4.762 4.215 O
3.281 2.182 5.712 O
4.048 1.458 1.029 O
4.688 1.064 3.780 O
6.426 5.712 6.796 O
5.041 3.998 2.188 O
5.681 3.703 4.860 O
```

Main lines, in order of rising 2θ (2θ = 10–90°):
| two_theta | intensity |
| --- | --- |
| 12.07 | 43 |
| 18.11 | 100 |
| 22.79 | 20 |
| 26.71 | 16 |
| 26.97 | 17 |
| 30.50 | 10 |
| 40.08 | 33 |
| 43.79 | 32 |
| 44.50 | 31 |
| 60.92 | 15 |

***

This entry pairs a crystal structure of Na3CrPCO7 with its theoretical powder X-ray diffraction pattern. Radiation: a wavelength of 1.5418 Å. Structure: a GGA+U-relaxed structure.
Lines closer than 0.1° are merged.

Crystal structure
```
Na3CrPCO7
1.0
5.356 0.000 0.000
0.000 6.581 0.000
-0.155 0.000 9.162
Na Cr P C O
6 2 2 2 14
Cartesian
0.022 0.000 0.040 Na
2.358 4.781 1.605 Na
2.573 0.111 4.458 Na
2.629 3.401 4.704 Na
2.844 1.490 7.556 Na
5.180 3.290 9.121 Na
0.157 1.697 2.665 Cr
5.044 4.988 6.497 Cr
-0.028 1.691 5.940 P
5.230 4.982 3.221 P
2.534 4.973 7.903 C
2.667 1.682 1.259 C
0.289 3.743 2.346 O
0.360 6.222 2.386 O
0.656 4.957 4.564 O
1.272 4.947 8.249 O
1.493 1.705 5.724 O
1.747 1.669 0.337 O
2.336 1.739 2.511 O
2.866 5.030 6.650 O
3.455 4.959 8.825 O
3.708 4.995 3.437 O
3.930 1.657 0.913 O
4.546 1.667 4.598 O
4.842 2.932 6.776 O
4.912 0.453 6.816 O
```

Main lines, in order of rising 2θ (2θ = 10–90°):
| two_theta | intensity |
| --- | --- |
| 16.56 | 47 |
| 19.36 | 20 |
| 27.10 | 52 |
| 33.34 | 44 |
| 33.50 | 100 |
| 34.04 | 46 |
| 36.28 | 25 |
| 41.72 | 21 |
| 47.85 | 25 |
| 55.89 | 18 |

***

This entry pairs a crystal structure of Li9Mn2Co5O16 with its theoretical powder X-ray diffraction pattern. Radiation: a wavelength of 1.5418 Å. Structure: a GGA+U-relaxed structure.
Lines closer than 0.1° are merged.

Crystal structure
```
Li9Mn2Co5O16
1.0
5.185 0.000 0.000
0.000 11.333 0.000
-1.984 0.000 4.813
Li Mn Co O
9 2 5 16
Cartesian
0.000 0.000 0.000 Li
-0.992 1.365 2.406 Li
0.000 2.778 0.000 Li
-0.992 4.196 2.406 Li
0.000 5.628 0.000 Li
-0.992 7.071 2.406 Li
0.000 8.454 0.000 Li
-0.992 9.892 2.406 Li
2.592 1.375 0.000 Li
1.600 2.771 2.406 Mn
1.600 5.645 2.406 Mn
2.592 4.211 0.000 Co
2.592 7.062 0.000 Co
1.600 8.485 2.406 Co
2.592 9.888 0.000 Co
1.600 11.283 2.406 Co
0.832 4.190 1.306 O
0.815 1.355 1.355 O
0.845 7.083 1.312 O
0.852 9.898 1.332 O
-0.139 5.648 3.744 O
-0.102 8.473 3.716 O
0.021 2.868 3.583 O
0.055 11.224 3.566 O
3.146 11.224 1.246 O
3.180 2.868 1.230 O
3.303 8.473 1.097 O
3.340 5.648 1.069 O
2.349 9.898 3.481 O
2.356 7.083 3.501 O
2.386 1.355 3.458 O
2.369 4.190 3.507 O
```

Main lines, in order of rising 2θ (2θ = 10–90°):
| two_theta | intensity |
| --- | --- |
| 18.51 | 100 |
| 34.76 | 18 |
| 36.81 | 24 |
| 37.99 | 7 |
| 41.85 | 31 |
| 44.80 | 50 |
| 47.76 | 9 |
| 58.99 | 9 |
| 62.86 | 15 |
| 63.07 | 15 |

***

This entry pairs a crystal structure of Li3Fe3OF7 with its theoretical powder X-ray diffraction pattern. Radiation: a wavelength of 1.5418 Å. Structure: a GGA+U-relaxed structure.
Lines closer than 0.1° are merged.

Crystal structure
```
Li3Fe3OF7
1.0
5.375 -2.950 0.000
5.375 2.950 0.000
-3.532 0.000 5.161
Li Fe O F
3 3 1 7
Cartesian
0.000 0.000 0.000 Li
-1.778 0.000 2.790 Li
1.792 0.000 3.326 Li
8.046 1.286 0.054 Fe
5.254 0.000 2.260 Fe
8.046 -1.286 0.054 Fe
5.514 0.000 4.151 O
4.367 1.582 1.366 F
-0.087 0.000 3.981 F
1.875 0.000 1.219 F
2.811 1.519 4.054 F
4.367 -1.582 1.366 F
7.223 0.000 1.588 F
2.811 -1.519 4.054 F
```

Main lines, in order of rising 2θ (2θ = 10–90°):
| two_theta | intensity |
| --- | --- |
| 17.18 | 50 |
| 17.52 | 100 |
| 18.06 | 65 |
| 20.02 | 90 |
| 28.55 | 76 |
| 33.80 | 68 |
| 35.04 | 84 |
| 35.21 | 68 |
| 42.11 | 76 |
| 60.46 | 50 |

***

This entry pairs a crystal structure of KFe3S2O14 with its theoretical powder X-ray diffraction pattern. Radiation: a wavelength of 1.5418 Å. Structure: a GGA+U-relaxed structure.
Lines closer than 0.1° are merged.

Crystal structure
```
KFe3S2O14
1.0
3.500 2.021 6.485
-3.500 2.021 6.485
0.000 -4.041 6.485
K Fe S O
1 3 2 14
Cartesian
0.000 0.000 0.000 K
-1.692 -0.977 16.266 Fe
1.692 -0.977 16.266 Fe
0.000 1.954 16.266 Fe
0.000 0.000 5.782 S
0.000 0.000 13.703 S
-2.152 -1.242 10.200 O
0.000 -1.416 5.268 O
-1.226 0.708 5.268 O
0.000 -2.691 9.208 O
-2.331 1.346 9.208 O
0.000 0.000 7.228 O
-1.221 -0.705 14.225 O
1.226 0.708 5.268 O
0.000 0.000 12.254 O
2.152 -1.242 10.200 O
0.000 2.485 10.200 O
1.221 -0.705 14.225 O
0.000 1.410 14.225 O
2.331 1.346 9.208 O
```

Main lines, in order of rising 2θ (2θ = 10–90°):
| two_theta | intensity |
| --- | --- |
| 13.65 | 37 |
| 15.31 | 52 |
| 17.24 | 90 |
| 27.51 | 27 |
| 28.99 | 100 |
| 29.84 | 58 |
| 35.53 | 39 |
| 47.11 | 36 |
| 52.28 | 29 |
| 56.18 | 28 |

***

This entry pairs a crystal structure of BaLa3TiCr3O12 with its theoretical powder X-ray diffraction pattern. Radiation: a wavelength of 1.5418 Å. Structure: a GGA+U-relaxed structure.
Lines closer than 0.1° are merged.

Crystal structure
```
BaLa3TiCr3O12
1.0
5.601 0.000 0.000
0.000 11.177 0.000
-0.083 0.000 7.927
Ba La Ti Cr O
2 6 2 6 24
Cartesian
-0.021 0.029 1.982 Ba
-0.062 11.148 5.945 Ba
-0.021 5.515 1.982 La
-0.062 5.662 5.945 La
2.780 2.812 1.982 La
2.738 2.841 5.945 La
2.780 8.336 1.982 La
2.738 8.365 5.945 La
2.800 0.000 0.000 Ti
2.759 0.000 3.963 Ti
-0.021 2.827 3.968 Cr
0.020 8.351 0.004 Cr
2.800 5.589 0.000 Cr
2.759 5.589 3.963 Cr
5.498 2.827 7.922 Cr
5.539 8.351 3.959 Cr
-0.021 2.691 1.982 O
-0.062 3.182 5.945 O
-0.021 7.995 1.982 O
-0.062 8.486 5.945 O
1.208 4.396 0.223 O
1.166 6.781 4.186 O
1.347 1.333 4.126 O
1.389 9.844 0.162 O
1.484 1.564 7.763 O
1.526 9.613 3.799 O
1.579 4.012 3.719 O
1.537 7.165 7.682 O
2.780 0.254 1.982 O
2.738 5.233 5.945 O
2.780 5.944 1.982 O
2.738 10.923 5.945 O
3.981 4.012 0.244 O
3.939 7.165 4.208 O
3.992 1.564 4.127 O
4.034 9.613 0.164 O
4.129 1.333 7.764 O
4.171 9.844 3.801 O
4.352 4.396 3.741 O
4.311 6.781 7.704 O
```

Main lines, in order of rising 2θ (2θ = 10–90°):
| two_theta | intensity |
| --- | --- |
| 22.46 | 53 |
| 31.84 | 98 |
| 31.99 | 99 |
| 32.09 | 100 |
| 39.46 | 29 |
| 45.85 | 94 |
| 56.73 | 20 |
| 56.97 | 41 |
| 57.16 | 38 |
| 67.11 | 18 |

***

This entry pairs a crystal structure of K2BaV2ClO7 with its theoretical powder X-ray diffraction pattern. Radiation: a wavelength of 1.5418 Å. Structure: a GGA+U-relaxed structure.
Lines closer than 0.1° are merged.

Crystal structure
```
K2BaV2ClO7
1.0
5.902 0.000 0.000
-2.951 5.111 0.000
0.000 0.000 15.400
K Ba V Cl O
4 2 4 2 14
Cartesian
0.000 3.408 0.705 K
0.000 3.408 6.995 K
2.951 1.704 8.405 K
2.951 1.704 14.695 K
0.000 3.408 11.550 Ba
2.951 1.704 3.850 Ba
0.000 0.000 2.028 V
0.000 0.000 5.672 V
0.000 0.000 9.728 V
0.000 0.000 13.372 V
0.000 3.408 3.850 Cl
2.951 1.704 11.550 Cl
0.000 0.000 3.850 O
0.000 0.000 11.550 O
0.000 1.625 9.185 O
0.000 1.625 13.916 O
-1.544 4.299 9.185 O
-1.544 4.299 13.916 O
1.407 0.812 1.484 O
1.407 0.812 6.216 O
1.544 4.299 9.185 O
1.544 4.299 13.916 O
4.495 0.812 1.484 O
4.495 0.812 6.216 O
2.951 3.487 1.484 O
2.951 3.487 6.216 O
```

Main lines, in order of rising 2θ (2θ = 10–90°):
| two_theta | intensity |
| --- | --- |
| 11.49 | 21 |
| 18.29 | 35 |
| 24.58 | 36 |
| 29.04 | 81 |
| 30.29 | 100 |
| 32.49 | 27 |
| 39.38 | 41 |
| 53.03 | 24 |
| 63.00 | 20 |
| 68.74 | 20 |